No. 1
# Li2Ni3BiO8
Simulated powder X-ray diffraction pattern, Cu Kα (weighted mean of Kα1 and Kα2). Input: a structure optimized by DFT (GGA+U).
Lines closer than 0.1° are merged.

```
data_Li2Ni3BiO8
_symmetry_space_group_name_H-M 'P 43 3 2'
_symmetry_Int_Tables_number 212
_symmetry_space_group_name_Hall 'P 4acd 2ab 3'
_cell_length_a 8.4802
_cell_length_b 8.4802
_cell_length_c 8.4802
_cell_angle_alpha 90.00
_cell_angle_beta 90.00
_cell_angle_gamma 90.00
loop_
_atom_site_label
_atom_site_fract_x
_atom_site_fract_y
_atom_site_fract_z
Li1 0.0003 0.0003 0.0003
Ni1 0.1168 0.1332 0.6250
Bi1 0.1250 0.8750 0.3750
O1 0.0957 0.1272 0.3824
O2 0.1129 0.6129 0.8871
```

Most intense lines, 2θ from 5° to 70°, by intensity:
d [Å], 2theta, I (rel.)
4.896, 18.12, 100
2.557, 35.10, 55
2.120, 42.65, 49
3.792, 23.46, 31
1.499, 61.90, 31
2.448, 36.71, 30
1.632, 56.38, 21
5.996, 14.77, 18
1.433, 65.07, 17
1.945, 46.69, 17

=====

No. 2
# Li2Ni2BiO6
Simulated powder X-ray diffraction pattern, Cu Kα (weighted mean of Kα1 and Kα2). Input: a structure optimized by DFT (GGA+U).
Lines closer than 0.1° are merged.

```
data_Li2Ni2BiO6
_symmetry_space_group_name_H-M 'C 1 2 1'
_symmetry_Int_Tables_number 5
_symmetry_space_group_name_Hall 'C 2y'
_cell_length_a 5.3712
_cell_length_b 9.1591
_cell_length_c 10.1875
_cell_angle_alpha 90.00
_cell_angle_beta 90.11
_cell_angle_gamma 90.00
loop_
_atom_site_label
_atom_site_fract_x
_atom_site_fract_y
_atom_site_fract_z
Li1 0.0999 0.0000 0.2500
Li2 0.1025 0.5015 0.2501
Ni1 0.0000 0.0772 0.5000
Ni2 0.0000 0.4067 0.5000
Ni3 0.0000 0.5948 0.0000
Ni4 0.0000 0.9244 0.0000
Bi1 0.0000 0.2628 0.0000
Bi2 0.0000 0.7388 0.5000
O1 0.1496 0.0746 0.8931
O2 0.1497 0.7710 0.8995
O3 0.1501 0.9270 0.6069
O4 0.1506 0.2306 0.6006
O5 0.1566 0.4345 0.8847
O6 0.1573 0.5670 0.6153
```

Most intense lines, 2θ from 5° to 70°, by intensity:
d [Å], 2theta, I (rel.)
5.094, 17.41, 100
2.568, 34.93, 49
2.091, 43.27, 43
4.218, 21.06, 37
2.376, 37.87, 25
1.527, 60.65, 22
1.616, 56.98, 20
2.686, 33.36, 16
1.848, 49.31, 15
3.406, 26.17, 15

=====

No. 3
# Li4Ni5BiO12
Simulated powder X-ray diffraction pattern, Cu Kα (weighted mean of Kα1 and Kα2). Input: a structure optimized by DFT (GGA+U).
Lines closer than 0.1° are merged.

```
data_Li4Ni5BiO12
_symmetry_space_group_name_H-M 'C 1 2/m 1'
_symmetry_Int_Tables_number 12
_symmetry_space_group_name_Hall '-C 2y'
_cell_length_a 5.1696
_cell_length_b 8.8561
_cell_length_c 9.9891
_cell_angle_alpha 90.00
_cell_angle_beta 99.15
_cell_angle_gamma 90.00
loop_
_atom_site_label
_atom_site_fract_x
_atom_site_fract_y
_atom_site_fract_z
Li1 0.0940 0.1739 0.2607
Ni1 0.0000 0.0000 0.5000
Ni2 0.0000 0.1670 0.0000
Ni3 0.0000 0.3354 0.5000
Bi1 0.0000 0.5000 0.0000
O1 0.1070 0.0000 0.8867
O2 0.1313 0.3220 0.8834
O3 0.1863 0.1795 0.6039
O4 0.2078 0.5000 0.5960
```

Most intense lines, 2θ from 5° to 70°, by intensity:
d [Å], 2theta, I (rel.)
4.931, 17.99, 100
2.428, 37.02, 33
2.523, 35.58, 24
9.862, 8.97, 23
2.100, 43.08, 22
1.944, 46.73, 21
2.552, 35.16, 15
2.132, 42.40, 12
1.488, 62.40, 11
1.625, 56.63, 10

=====

Copy entry 1 word for word.
# Li2Ni3BiO8
Simulated powder X-ray diffraction pattern, Cu Kα (weighted mean of Kα1 and Kα2). Input: a structure optimized by DFT (GGA+U).
Lines closer than 0.1° are merged.

```
data_Li2Ni3BiO8
_symmetry_space_group_name_H-M 'P 43 3 2'
_symmetry_Int_Tables_number 212
_symmetry_space_group_name_Hall 'P 4acd 2ab 3'
_cell_length_a 8.4802
_cell_length_b 8.4802
_cell_length_c 8.4802
_cell_angle_alpha 90.00
_cell_angle_beta 90.00
_cell_angle_gamma 90.00
loop_
_atom_site_label
_atom_site_fract_x
_atom_site_fract_y
_atom_site_fract_z
Li1 0.0003 0.0003 0.0003
Ni1 0.1168 0.1332 0.6250
Bi1 0.1250 0.8750 0.3750
O1 0.0957 0.1272 0.3824
O2 0.1129 0.6129 0.8871
```

Most intense lines, 2θ from 5° to 70°, by intensity:
d [Å], 2theta, I (rel.)
4.896, 18.12, 100
2.557, 35.10, 55
2.120, 42.65, 49
3.792, 23.46, 31
1.499, 61.90, 31
2.448, 36.71, 30
1.632, 56.38, 21
5.996, 14.77, 18
1.433, 65.07, 17
1.945, 46.69, 17